(1)
This entry pairs a crystal structure of Li2NiP5O15 with its computed powder diffractogram. Radiation: copper Kα. Structure: a crystal structure in the Materials Project, relaxed with PBE+U.
Intensities are scaled so that the largest is 100.

Peak list (6 most intense, 5° ≤ 2θ ≤ 70°, by intensity)
- 2θ 20.7, d = 4.297 Å, rel. 100
- 2θ 19.1, d = 4.647 Å, rel. 56
- 2θ 34.4, d = 2.610 Å, rel. 45
- 2θ 11.9, d = 7.438 Å, rel. 39
- 2θ 28.5, d = 3.137 Å, rel. 38
- 2θ 30.4, d = 2.943 Å, rel. 34

Structural model:
```
46
Lattice="5.147 0.000 0.000 0.000 9.290 0.000 -4.440 0.000 12.413" Properties=species:S:1:pos:R:3 pbc="T T T"
Li 0.000 1.381 0.000
Li -2.220 7.909 6.207
Li -1.227 1.466 4.927
Li -3.447 7.825 11.134
Ni -3.932 4.625 11.824
Ni -1.712 4.665 5.617
P -2.818 4.638 8.720
P -0.598 4.652 2.513
P -1.446 2.923 10.727
P 0.774 6.367 4.520
P -0.981 0.085 10.024
P 1.239 9.205 3.818
P 0.452 0.117 7.338
P 2.672 9.173 1.132
P 0.945 2.957 6.696
P 3.165 6.333 0.490
O -1.225 3.924 3.672
O -3.445 5.366 9.879
O 0.032 3.916 1.362
O -2.188 5.374 7.569
O 0.270 1.038 3.621
O -1.951 8.252 9.827
O 1.563 0.049 0.127
O -0.657 9.241 6.334
O -1.678 3.635 9.306
O 0.542 5.655 3.100
O -0.512 3.022 6.312
O 1.708 6.269 0.106
O -2.438 3.365 11.767
O -0.218 5.925 5.560
O -1.833 1.407 10.349
O 0.387 7.883 4.142
O -0.266 0.581 8.686
O 1.954 8.709 2.479
O 1.323 1.434 7.054
O 3.543 7.856 0.847
O 1.937 3.408 5.660
O -0.283 5.882 11.867
O 0.011 2.976 11.113
O 2.231 6.314 4.906
O 2.351 0.120 4.812
O 0.131 9.170 11.018
O 1.183 3.647 8.126
O 3.404 5.643 1.920
O 3.629 1.022 1.301
O 1.409 8.268 7.508
```

***

(2)
This entry pairs a crystal structure of LiCoPO4 with its computed powder diffractogram. Radiation: copper Kα. Structure: a crystal structure in the Materials Project, relaxed with PBE+U.
Intensities are scaled so that the largest is 100.

Peak list (6 most intense, 5° ≤ 2θ ≤ 70°, by intensity)
- 2θ 20.6, d = 4.322 Å, rel. 100
- 2θ 23.1, d = 3.849 Å, rel. 92
- 2θ 15.0, d = 5.915 Å, rel. 79
- 2θ 19.2, d = 4.614 Å, rel. 74
- 2θ 29.5, d = 3.025 Å, rel. 49
- 2θ 36.4, d = 2.471 Å, rel. 44

Structural model:
```
56
Lattice="7.698 0.000 0.000 0.000 4.891 0.000 -0.088 0.000 18.457" Properties=species:S:1:pos:R:3 pbc="T T T"
Li 0.050 0.796 3.466
Li 0.006 1.650 12.695
Li 3.627 1.182 1.544
Li 3.583 1.264 10.773
Li 4.026 3.628 7.685
Li 3.982 3.709 16.913
Li 7.603 3.241 5.763
Li 7.559 4.096 14.991
Co 1.267 3.527 9.612
Co 1.311 3.810 0.384
Co 2.607 1.100 4.997
Co 2.563 1.345 14.226
Co 5.047 3.546 4.232
Co 5.003 3.791 13.461
Co 6.298 1.081 18.074
Co 6.342 1.364 8.845
P 1.773 1.133 17.262
P 1.817 1.313 8.033
P 1.947 3.282 3.377
P 1.903 4.055 12.606
P 5.706 0.837 5.852
P 5.662 1.609 15.080
P 5.792 3.579 10.424
P 5.837 3.758 1.196
O 0.307 0.596 17.188
O 0.351 1.850 7.960
O 0.770 2.566 4.086
O 0.726 4.771 13.314
O 1.791 2.508 12.766
O 1.835 4.829 3.537
O 1.863 2.684 17.291
O 1.907 4.653 8.062
O 2.127 2.851 1.910
O 2.083 4.486 11.139
O 2.488 0.521 0.093
O 2.444 1.925 9.322
O 2.520 0.571 16.028
O 2.564 1.875 6.799
O 3.234 2.762 4.115
O 3.189 4.575 13.344
O 4.420 0.316 5.114
O 4.376 2.130 14.343
O 5.045 3.017 11.658
O 5.089 4.320 2.429
O 5.166 2.967 9.136
O 5.121 4.370 18.365
O 5.527 0.405 7.319
O 5.483 2.040 16.548
O 5.702 0.238 10.395
O 5.746 2.207 1.166
O 5.774 0.062 14.920
O 5.818 2.383 5.692
O 6.884 0.120 5.143
O 6.840 2.325 14.372
O 7.258 3.041 10.498
O 7.303 4.295 1.269
```

***

(3)
This entry pairs a crystal structure of V2Fe3TeP6O24 with its computed powder diffractogram. Radiation: copper Kα. Structure: a crystal structure in the Materials Project, relaxed with PBE+U.
Intensities are scaled so that the largest is 100.

Peak list (6 most intense, 5° ≤ 2θ ≤ 70°, by intensity)
- 2θ 20.3, d = 4.372 Å, rel. 100
- 2θ 24.0, d = 3.704 Å, rel. 95
- 2θ 32.9, d = 2.725 Å, rel. 82
- 2θ 35.6, d = 2.524 Å, rel. 47
- 2θ 49.2, d = 1.852 Å, rel. 32
- 2θ 55.6, d = 1.652 Å, rel. 26

Structural model:
```
36
Lattice="4.372 2.524 6.970 -4.372 2.524 6.970 0.000 -5.048 6.970" Properties=species:S:1:pos:R:3 pbc="T T T"
V 0.000 0.000 0.000
V 0.000 0.000 10.382
Fe 0.000 0.000 3.021
Fe 0.000 0.000 7.337
Fe 0.000 0.000 13.443
Te 0.000 0.000 17.773
P -1.706 -2.523 8.616
P -3.043 0.332 12.164
P -1.332 2.739 8.616
P 1.234 -2.802 12.164
P 3.038 -0.216 8.616
P 1.809 2.469 12.164
O -2.478 -2.587 9.960
O -0.799 -3.782 8.464
O -3.678 -1.109 12.414
O -1.704 -0.164 6.440
O -3.577 0.986 10.890
O -0.790 -1.274 8.793
O -2.875 2.583 8.464
O 0.995 -1.394 6.440
O 0.935 -3.591 10.890
O -1.506 0.104 11.959
O -0.708 1.321 8.793
O 0.710 1.558 6.440
O -0.806 -1.505 14.407
O 0.663 -1.356 11.959
O 1.498 -0.047 8.793
O -1.002 3.440 9.960
O -0.900 1.451 14.407
O 2.799 -2.631 12.414
O 0.843 1.252 11.959
O 3.480 -0.852 9.960
O 1.707 0.054 14.407
O 3.675 1.199 8.464
O 0.879 3.740 12.414
O 2.642 2.605 10.890
```

***

(4)
This entry pairs a crystal structure of NdFe4Cu3O12 with its computed powder diffractogram. Radiation: copper Kα. Structure: a crystal structure in the Materials Project, relaxed with PBE+U.
Intensities are scaled so that the largest is 100.

Peak list (6 most intense, 5° ≤ 2θ ≤ 70°, by intensity)
- 2θ 33.9, d = 2.647 Å, rel. 100
- 2θ 60.6, d = 1.528 Å, rel. 48
- 2θ 48.6, d = 1.872 Å, rel. 24
- 2θ 16.7, d = 5.294 Å, rel. 10
- 2θ 38.0, d = 2.367 Å, rel. 9
- 2θ 45.3, d = 2.001 Å, rel. 9

Structural model:
```
20
Lattice="-3.743 3.743 3.743 3.743 -3.743 3.743 3.743 3.743 -3.743" Properties=species:S:1:pos:R:3 pbc="T T T"
Nd 0.000 0.000 0.000
Fe 1.872 1.872 -1.872
Fe 1.872 -1.872 1.872
Fe -1.872 1.872 1.872
Fe 1.872 1.872 1.872
Cu 3.743 0.000 0.000
Cu 0.000 3.743 0.000
Cu 0.000 0.000 3.743
O 3.743 2.503 -1.419
O 2.324 0.000 1.240
O 5.162 0.000 1.240
O 1.240 2.324 0.000
O 2.503 -1.419 3.743
O 0.000 1.240 2.324
O 3.743 2.503 1.419
O 1.240 5.162 0.000
O 2.503 1.419 3.743
O -1.419 3.743 2.503
O 1.419 3.743 2.503
O 0.000 1.240 5.162
```

***

(5)
This entry pairs a crystal structure of Fe2AsSO9 with its computed powder diffractogram. Radiation: copper Kα. Structure: a crystal structure in the Materials Project, relaxed with PBE+U.
Intensities are scaled so that the largest is 100.

Peak list (6 most intense, 5° ≤ 2θ ≤ 70°, by intensity)
- 2θ 24.6, d = 3.622 Å, rel. 100
- 2θ 23.8, d = 3.734 Å, rel. 97
- 2θ 28.1, d = 3.174 Å, rel. 86
- 2θ 17.4, d = 5.106 Å, rel. 71
- 2θ 17.8, d = 4.974 Å, rel. 55
- 2θ 18.7, d = 4.743 Å, rel. 33

Structural model:
```
13
Lattice="5.199 0.000 0.000 0.369 5.268 0.000 2.228 1.801 7.106" Properties=species:S:1:pos:R:3 pbc="T T T"
Fe 0.000 0.000 0.000
Fe 3.606 3.195 4.268
As 2.506 0.726 2.155
S 5.248 5.680 5.625
O 0.898 0.688 1.553
O 2.565 2.989 5.748
O 2.678 2.278 2.873
O 3.012 4.810 3.368
O 4.175 5.780 6.645
O 3.565 0.631 0.823
O 4.827 1.544 4.656
O 5.140 4.368 4.912
O 6.597 5.644 6.263
```

***

(6)
This entry pairs a crystal structure of Cs2NaFeF6 with its computed powder diffractogram. Radiation: copper Kα. Structure: a crystal structure in the Materials Project, relaxed with PBE+U.
Intensities are scaled so that the largest is 100.

Peak list (6 most intense, 5° ≤ 2θ ≤ 70°, by intensity)
- 2θ 28.0, d = 3.186 Å, rel. 100
- 2θ 25.8, d = 3.457 Å, rel. 62
- 2θ 38.4, d = 2.343 Å, rel. 52
- 2θ 21.5, d = 4.125 Å, rel. 42
- 2θ 35.6, d = 2.521 Å, rel. 37
- 2θ 49.6, d = 1.838 Å, rel. 34

Structural model:
```
20
Lattice="3.186 1.839 10.350 -3.186 1.839 10.350 0.000 -3.679 10.350" Properties=species:S:1:pos:R:3 pbc="T T T"
Cs 0.000 0.000 3.959
Cs 0.000 0.000 8.757
Cs 0.000 0.000 22.294
Cs 0.000 0.000 27.092
Na 0.000 0.000 12.509
Na 0.000 0.000 18.542
Fe 0.000 0.000 0.000
Fe 0.000 0.000 15.525
F -1.360 -0.785 14.345
F 0.000 -2.050 11.482
F -1.775 1.025 11.482
F -1.775 -1.025 19.568
F 0.000 -1.571 16.706
F -1.360 0.785 16.706
F 1.360 -0.785 14.345
F 0.000 1.571 14.345
F 1.775 1.025 11.482
F 1.775 -1.025 19.568
F 0.000 2.050 19.568
F 1.360 0.785 16.706
```

***

(7)
This entry pairs a crystal structure of Li3MnPCO7 with its computed powder diffractogram. Radiation: copper Kα. Structure: a crystal structure in the Materials Project, relaxed with PBE+U.
Intensities are scaled so that the largest is 100.

Peak list (6 most intense, 5° ≤ 2θ ≤ 70°, by intensity)
- 2θ 27.1, d = 3.292 Å, rel. 100
- 2θ 10.4, d = 8.544 Å, rel. 93
- 2θ 25.3, d = 3.514 Å, rel. 37
- 2θ 26.4, d = 3.378 Å, rel. 35
- 2θ 36.8, d = 2.443 Å, rel. 30
- 2θ 21.4, d = 4.159 Å, rel. 29

Structural model:
```
52
Lattice="6.585 0.000 0.000 0.079 8.572 0.000 0.013 0.799 9.956" Properties=species:S:1:pos:R:3 pbc="T T T"
Li 0.000 0.000 0.000
Li 0.098 8.977 5.060
Li 1.553 7.632 7.485
Li 1.597 7.238 2.738
Li 1.848 3.170 0.044
Li 1.896 3.597 5.099
Li 3.267 6.839 5.043
Li 3.268 1.865 2.703
Li 3.284 2.202 7.584
Li 4.710 3.590 5.099
Li 4.743 3.171 0.046
Li 5.120 7.637 7.482
Mn 3.322 7.221 9.855
Mn 4.960 7.353 2.671
Mn 6.603 4.351 7.674
Mn 6.602 3.949 2.776
P 3.309 4.512 2.441
P 3.315 4.928 7.406
P 6.608 5.893 0.245
P 6.637 6.291 5.218
C 3.301 0.903 5.295
C 3.301 0.548 0.348
C 6.577 1.679 7.338
C 6.575 1.299 2.356
O 1.251 7.501 9.673
O 1.268 7.082 4.691
O 2.098 4.124 7.970
O 2.094 3.716 2.986
O 3.306 5.993 2.896
O 3.269 0.949 9.089
O 3.286 2.190 5.580
O 3.325 6.403 7.889
O 3.308 4.493 0.876
O 3.312 4.924 5.862
O 3.351 8.620 6.260
O 3.290 1.802 0.679
O 3.340 0.519 4.052
O 3.419 8.213 1.311
O 4.521 3.708 2.983
O 4.524 4.118 7.974
O 5.381 7.076 4.716
O 5.407 7.508 9.684
O 6.589 5.913 1.825
O 6.625 8.588 2.034
O 6.642 8.981 7.051
O 6.578 1.667 3.583
O 6.584 2.095 8.563
O 6.585 2.551 6.369
O 6.613 4.799 4.778
O 6.620 5.212 9.760
O 6.626 6.302 6.785
O 6.600 2.172 1.399
```

***

(8)
This entry pairs a crystal structure of Mg14FeSiO16 with its computed powder diffractogram. Radiation: copper Kα. Structure: a crystal structure in the Materials Project, relaxed with PBE+U.
Intensities are scaled so that the largest is 100.

Peak list (6 most intense, 5° ≤ 2θ ≤ 70°, by intensity)
- 2θ 42.0, d = 2.152 Å, rel. 100
- 2θ 61.1, d = 1.518 Å, rel. 56
- 2θ 42.2, d = 2.140 Å, rel. 49
- 2θ 60.9, d = 1.522 Å, rel. 28
- 2θ 36.2, d = 2.481 Å, rel. 21
- 2θ 10.3, d = 8.610 Å, rel. 6

Structural model:
```
32
Lattice="8.610 0.000 0.000 0.000 8.610 0.000 0.000 0.000 4.280" Properties=species:S:1:pos:R:3 pbc="T T T"
Mg 0.000 2.171 0.000
Mg 0.000 4.305 2.140
Mg 0.000 6.439 0.000
Mg 2.129 4.305 0.000
Mg 2.140 2.140 2.140
Mg 2.140 6.470 2.140
Mg 2.171 0.000 0.000
Mg 4.305 0.000 2.140
Mg 4.305 2.129 0.000
Mg 4.305 6.481 0.000
Mg 6.439 0.000 0.000
Mg 6.470 2.140 2.140
Mg 6.470 6.470 2.140
Mg 6.481 4.305 0.000
Fe 0.000 0.000 2.140
Si 4.305 4.305 2.140
O 0.000 0.000 0.000
O 0.000 2.189 2.140
O 0.000 4.305 0.000
O 0.000 6.421 2.140
O 2.062 4.305 2.140
O 2.153 2.153 0.000
O 2.153 6.457 0.000
O 2.189 0.000 2.140
O 4.305 0.000 0.000
O 4.305 2.062 2.140
O 4.305 4.305 0.000
O 4.305 6.548 2.140
O 6.421 0.000 2.140
O 6.457 2.153 0.000
O 6.457 6.457 0.000
O 6.548 4.305 2.140
```